[1]
Computed powder X-ray diffraction pattern of Sn3Ir2W2 for copper Kα, from a structure optimized by DFT (GGA-PBE).
Intensities are scaled so that the largest is 100.

Largest 8 diffraction maxima, by intensity, 15° ≤ 2θ ≤ 90°:
2theta, I_rel
39.76, 100.0
39.12, 98.4
71.74, 34.3
57.00, 33.5
27.61, 30.7
72.16, 17.9
70.46, 15.0
85.69, 11.8

```
data_Sn3Ir2W2
_cell_length_a 4.5345
_cell_length_b 4.5345
_cell_length_c 22.7393
_cell_angle_alpha 90.00
_cell_angle_beta 90.00
_cell_angle_gamma 120.00
_symmetry_space_group_name_H-M 'R 3 m'
_symmetry_Int_Tables_number 160
_symmetry_space_group_name_Hall 'R 3 -2"'
loop_
_atom_site_label
_atom_site_fract_x
_atom_site_fract_y
_atom_site_fract_z
Sn1 0.0000 0.0000 0.0000
Sn2 0.0000 0.0000 0.2409
Sn3 0.0000 0.0000 0.4819
Ir1 0.0000 0.0000 0.1200
Ir2 0.0000 0.0000 0.6170
W1 0.0000 0.0000 0.3640
W2 0.0000 0.0000 0.8623
```



[2]
Computed powder X-ray diffraction pattern of Co9Pb for copper Kα, from a structure optimized by DFT (GGA-PBE).
Intensities are scaled so that the largest is 100.

Largest 8 diffraction maxima, by intensity, 15° ≤ 2θ ≤ 90°:
2theta, I_rel
43.56, 100.0
43.84, 59.3
48.90, 38.3
54.74, 30.0
46.08, 20.3
76.43, 19.3
27.10, 18.6
30.97, 17.6

```
data_Co9Pb
_cell_length_a 2.6467
_cell_length_b 3.3537
_cell_length_c 34.0759
_cell_angle_alpha 90.00
_cell_angle_beta 90.00
_cell_angle_gamma 90.00
_symmetry_space_group_name_H-M 'P m m n'
_symmetry_Int_Tables_number 59
loop_
_symmetry_equiv_pos_as_xyz
'x,y,z'
'-x,-y,-z'
'-x+1/2,-y+1/2,z'
'x+1/2,y+1/2,-z'
'x+1/2,-y,-z'
'-x+1/2,y,z'
'-x,y+1/2,-z'
'x,-y+1/2,z'
loop_
_atom_site_label
_atom_site_fract_x
_atom_site_fract_y
_atom_site_fract_z
Co1 0.2500 0.2500 0.0169
Co2 0.2500 0.2500 0.0907
Co3 0.2500 0.2500 0.1637
Co4 0.2500 0.2500 0.2364
Co5 0.2500 0.2500 0.3081
Co6 0.2500 0.2500 0.7261
Co7 0.2500 0.2500 0.7993
Co8 0.2500 0.2500 0.8725
Co9 0.2500 0.2500 0.9449
Pb1 0.2500 0.2500 0.6340
```



[3]
Computed powder X-ray diffraction pattern of PrBCl6 for copper Kα, from a structure optimized by DFT (GGA-PBE).
Intensities are scaled so that the largest is 100.

Largest 8 diffraction maxima, by intensity, 15° ≤ 2θ ≤ 90°:
2theta, I_rel
30.15, 100.0
35.98, 93.4
41.30, 90.8
34.05, 74.7
19.61, 72.5
22.68, 58.0
50.56, 48.1
41.52, 44.0

```
data_PrBCl6
_cell_length_a 9.0550
_cell_length_b 9.0550
_cell_length_c 3.2371
_cell_angle_alpha 90.00
_cell_angle_beta 90.00
_cell_angle_gamma 120.00
_symmetry_space_group_name_H-M 'P -6'
_symmetry_Int_Tables_number 174
_symmetry_space_group_name_Hall 'P -6'
loop_
_atom_site_label
_atom_site_fract_x
_atom_site_fract_y
_atom_site_fract_z
Pr1 0.0000 0.0000 0.0000
B1 0.6667 0.3333 0.5000
Cl1 0.0904 0.2738 0.5000
Cl2 0.4944 0.3525 0.0000
```



[4]
Computed powder X-ray diffraction pattern of Hf2Pb3Au for copper Kα, from a structure optimized by DFT (GGA-PBE).
Intensities are scaled so that the largest is 100.

Largest 8 diffraction maxima, by intensity, 15° ≤ 2θ ≤ 90°:
2theta, I_rel
35.56, 100.0
34.13, 60.2
62.04, 40.9
49.05, 22.1
64.77, 14.3
82.03, 10.4
82.86, 9.4
75.29, 9.4

```
data_Hf2Pb3Au
_cell_length_a 3.7147
_cell_length_b 3.7147
_cell_length_c 10.3232
_cell_angle_alpha 90.00
_cell_angle_beta 90.00
_cell_angle_gamma 90.00
_symmetry_space_group_name_H-M 'P 4 m m'
_symmetry_Int_Tables_number 99
_symmetry_space_group_name_Hall 'P 4 -2'
loop_
_atom_site_label
_atom_site_fract_x
_atom_site_fract_y
_atom_site_fract_z
Hf1 0.0000 0.0000 0.0000
Hf2 0.5000 0.5000 0.4643
Pb1 0.0000 0.0000 0.2969
Pb2 0.0000 0.0000 0.6258
Pb3 0.5000 0.5000 0.8204
Au1 0.5000 0.5000 0.1324
```



[5]
Computed powder X-ray diffraction pattern of PrGeNO for copper Kα, from a structure optimized by DFT (GGA-PBE).
Intensities are scaled so that the largest is 100.

Largest 8 diffraction maxima, by intensity, 15° ≤ 2θ ≤ 90°:
2theta, I_rel
32.00, 100.0
25.20, 69.2
35.02, 41.3
33.82, 34.8
26.71, 29.6
48.93, 20.9
33.93, 20.5
60.93, 18.4

```
data_PrGeNO
_cell_length_a 6.1940
_cell_length_b 7.9251
_cell_length_c 5.1250
_cell_angle_alpha 90.00
_cell_angle_beta 90.00
_cell_angle_gamma 90.00
_symmetry_space_group_name_H-M 'P c a 21'
_symmetry_Int_Tables_number 29
_symmetry_space_group_name_Hall 'P 2c -2ac'
loop_
_atom_site_label
_atom_site_fract_x
_atom_site_fract_y
_atom_site_fract_z
Pr1 0.0455 0.1716 0.0000
Ge1 0.1449 0.5865 0.0291
N1 0.1273 0.4418 0.7164
O1 0.1095 0.0831 0.4304
```



[6]
Computed powder X-ray diffraction pattern of Th3PSe2 for copper Kα, from a structure optimized by DFT (GGA-PBE).
Intensities are scaled so that the largest is 100.

Largest 8 diffraction maxima, by intensity, 15° ≤ 2θ ≤ 90°:
2theta, I_rel
30.21, 100.0
43.25, 49.7
26.11, 43.6
26.00, 14.6
51.27, 14.3
53.77, 13.1
43.38, 12.4
43.11, 12.3

```
data_Th3PSe2
_cell_length_a 7.2473
_cell_length_b 12.5146
_cell_length_c 7.2619
_cell_angle_alpha 90.00
_cell_angle_beta 109.31
_cell_angle_gamma 90.00
_symmetry_space_group_name_H-M 'C 1 2/m 1'
_symmetry_Int_Tables_number 12
_symmetry_space_group_name_Hall '-C 2y'
loop_
_atom_site_label
_atom_site_fract_x
_atom_site_fract_y
_atom_site_fract_z
Th1 0.2321 0.0000 0.2332
Th2 0.2479 0.1725 0.7623
P1 0.0000 0.1678 0.0000
Se1 0.0000 0.0000 0.5000
Se2 0.0000 0.3385 0.5000
Se3 0.0000 0.5000 0.0000
```



[7]
Computed powder X-ray diffraction pattern of UB4 for copper Kα, from a structure optimized by DFT (GGA-PBE).
Intensities are scaled so that the largest is 100.

Largest 8 diffraction maxima, by intensity, 15° ≤ 2θ ≤ 90°:
2theta, I_rel
36.60, 100.0
28.46, 81.2
34.21, 75.3
22.54, 74.6
25.40, 62.1
59.15, 46.7
53.90, 36.3
73.52, 30.2

```
data_UB4
_cell_length_a 7.0133
_cell_length_b 7.0133
_cell_length_c 3.9446
_cell_angle_alpha 90.00
_cell_angle_beta 90.00
_cell_angle_gamma 90.00
_symmetry_space_group_name_H-M 'P 4/m b m'
_symmetry_Int_Tables_number 127
_symmetry_space_group_name_Hall '-P 4 2ab'
loop_
_atom_site_label
_atom_site_fract_x
_atom_site_fract_y
_atom_site_fract_z
U1 0.1899 0.3101 0.0000
B1 0.0000 0.0000 0.2002
B2 0.0387 0.8209 0.5000
B3 0.0869 0.5869 0.5000
```



[8]
Computed powder X-ray diffraction pattern of Ho4CI3Br2 for copper Kα, from a structure optimized by DFT (GGA-PBE).
Intensities are scaled so that the largest is 100.

Largest 8 diffraction maxima, by intensity, 15° ≤ 2θ ≤ 90°:
2theta, I_rel
31.10, 100.0
30.20, 42.5
30.67, 31.9
34.13, 30.0
44.14, 26.1
43.66, 23.6
28.20, 20.3
46.56, 19.5

```
data_Ho4CI3Br2
_cell_length_a 18.1959
_cell_length_b 3.9009
_cell_length_c 8.5130
_cell_angle_alpha 90.00
_cell_angle_beta 102.64
_cell_angle_gamma 90.00
_symmetry_space_group_name_H-M 'C 1 2/m 1'
_symmetry_Int_Tables_number 12
_symmetry_space_group_name_Hall '-C 2y'
loop_
_atom_site_label
_atom_site_fract_x
_atom_site_fract_y
_atom_site_fract_z
Ho1 0.0015 0.0000 0.3111
Ho2 0.1342 0.5000 0.5631
C1 0.0000 0.5000 0.5000
I1 0.0000 0.5000 0.0000
I2 0.1688 0.0000 0.8406
Br1 0.1672 0.0000 0.3388
```



[9]
Computed powder X-ray diffraction pattern of Ba3NbF6 for copper Kα, from a structure optimized by DFT (GGA-PBE).
Intensities are scaled so that the largest is 100.

Largest 8 diffraction maxima, by intensity, 15° ≤ 2θ ≤ 90°:
2theta, I_rel
43.26, 100.0
32.44, 71.8
35.41, 67.6
27.83, 29.9
57.87, 26.8
67.59, 21.6
74.92, 18.9
23.21, 17.7

```
data_Ba3NbF6
_cell_length_a 5.5202
_cell_length_b 5.5202
_cell_length_c 6.4113
_cell_angle_alpha 90.00
_cell_angle_beta 90.00
_cell_angle_gamma 120.00
_symmetry_space_group_name_H-M 'P -3 1 m'
_symmetry_Int_Tables_number 162
_symmetry_space_group_name_Hall '-P 3 2'
loop_
_atom_site_label
_atom_site_fract_x
_atom_site_fract_y
_atom_site_fract_z
Ba1 0.0000 0.0000 0.0000
Ba2 0.3333 0.6667 0.0000
Nb1 0.0000 0.0000 0.5000
F1 0.0000 0.3224 0.6971
```



[10]
Computed powder X-ray diffraction pattern of NdGePIr2 for copper Kα, from a structure optimized by DFT (GGA-PBE).
Intensities are scaled so that the largest is 100.

Largest 8 diffraction maxima, by intensity, 15° ≤ 2θ ≤ 90°:
2theta, I_rel
35.30, 100.0
43.57, 52.2
34.17, 33.2
31.71, 28.2
74.62, 23.9
47.32, 23.5
49.99, 22.0
27.75, 21.4

```
data_NdGePIr2
_cell_length_a 4.1548
_cell_length_b 4.1548
_cell_length_c 10.1537
_cell_angle_alpha 90.00
_cell_angle_beta 90.00
_cell_angle_gamma 90.00
_symmetry_space_group_name_H-M 'P 4/n m m'
_symmetry_Int_Tables_number 129
loop_
_symmetry_equiv_pos_as_xyz
'x,y,z'
'-x,-y,-z'
'-y+1/2,x,z'
'y+1/2,-x,-z'
'-x+1/2,-y+1/2,z'
'x+1/2,y+1/2,-z'
'y,-x+1/2,z'
'-y,x+1/2,-z'
'x+1/2,-y,-z'
'-x+1/2,y,z'
'-y,-x,-z'
'y,x,z'
'-x,y+1/2,-z'
'x,-y+1/2,z'
'y+1/2,x+1/2,-z'
'-y+1/2,-x+1/2,z'
loop_
_atom_site_label
_atom_site_fract_x
_atom_site_fract_y
_atom_site_fract_z
Nd1 0.2500 0.2500 0.2490
Ge1 0.2500 0.7500 0.5000
P1 0.2500 0.2500 0.8668
Ir1 0.2500 0.2500 0.6401
Ir2 0.2500 0.7500 0.0000
```



[11]
Computed powder X-ray diffraction pattern of DyYInNi2 for copper Kα, from a structure optimized by DFT (GGA-PBE).
Intensities are scaled so that the largest is 100.

Largest 8 diffraction maxima, by intensity, 15° ≤ 2θ ≤ 90°:
2theta, I_rel
33.94, 100.0
34.99, 67.5
39.38, 38.9
29.78, 33.4
59.70, 28.0
38.55, 27.9
46.74, 23.4
48.94, 20.4

```
data_DyYInNi2
_cell_length_a 3.7221
_cell_length_b 3.8870
_cell_length_c 14.1509
_cell_angle_alpha 90.00
_cell_angle_beta 90.00
_cell_angle_gamma 90.00
_symmetry_space_group_name_H-M 'A m m 2'
_symmetry_Int_Tables_number 38
_symmetry_space_group_name_Hall 'A 2 -2'
loop_
_atom_site_label
_atom_site_fract_x
_atom_site_fract_y
_atom_site_fract_z
Dy1 0.0000 0.0000 0.0000
Y1 0.0000 0.0000 0.7266
In1 0.5000 0.0000 0.3628
Ni1 0.5000 0.0000 0.1627
Ni2 0.5000 0.0000 0.5609
```



Please write out number 1 again, unchanged.
Computed powder X-ray diffraction pattern of Sn3Ir2W2 for copper Kα, from a structure optimized by DFT (GGA-PBE).
Intensities are scaled so that the largest is 100.

Largest 8 diffraction maxima, by intensity, 15° ≤ 2θ ≤ 90°:
2theta, I_rel
39.76, 100.0
39.12, 98.4
71.74, 34.3
57.00, 33.5
27.61, 30.7
72.16, 17.9
70.46, 15.0
85.69, 11.8

```
data_Sn3Ir2W2
_cell_length_a 4.5345
_cell_length_b 4.5345
_cell_length_c 22.7393
_cell_angle_alpha 90.00
_cell_angle_beta 90.00
_cell_angle_gamma 120.00
_symmetry_space_group_name_H-M 'R 3 m'
_symmetry_Int_Tables_number 160
_symmetry_space_group_name_Hall 'R 3 -2"'
loop_
_atom_site_label
_atom_site_fract_x
_atom_site_fract_y
_atom_site_fract_z
Sn1 0.0000 0.0000 0.0000
Sn2 0.0000 0.0000 0.2409
Sn3 0.0000 0.0000 0.4819
Ir1 0.0000 0.0000 0.1200
Ir2 0.0000 0.0000 0.6170
W1 0.0000 0.0000 0.3640
W2 0.0000 0.0000 0.8623
```



Question: Which formula does entry 3 have?
Answer: PrBCl6